1.
Computed powder XRD pattern
Compound: SrIn3Ag8
Radiation: Cu Kα, 1.54184 Å
Structure: a cell relaxed with PBE
Intensities are scaled so that the largest is 100.

Structural model:
```
SrIn3Ag8
1.0
5.641 0.000 0.000
-2.821 4.885 0.000
0.000 0.000 9.415
Sr In Ag
1 3 8
direct
0.000 0.000 0.000 Sr
0.000 0.000 0.384 In
0.667 0.333 0.497 In
0.667 0.333 0.851 In
0.165 0.330 0.681 Ag
0.165 0.835 0.681 Ag
0.333 0.667 0.433 Ag
0.333 0.667 0.932 Ag
0.502 0.005 0.188 Ag
0.502 0.498 0.188 Ag
0.670 0.835 0.681 Ag
0.995 0.498 0.188 Ag
```

Peak list (10 most intense, 10° ≤ 2θ ≤ 90°, low angle first)
2θ = 31.72°, I 26.8
2θ = 33.95°, I 70.6
2θ = 37.16°, I 100.0
2θ = 38.06°, I 91.3
2θ = 38.24°, I 20.8
2θ = 41.66°, I 22.2
2θ = 57.95°, I 27.0
2θ = 60.12°, I 23.2
2θ = 62.25°, I 30.1
2θ = 66.27°, I 27.5

=====

2.
Computed powder XRD pattern
Compound: Ac4GaHg3
Radiation: Cu Kα, 1.54184 Å
Structure: a cell relaxed with PBE
Intensities are scaled so that the largest is 100.

Structural model:
```
Ac4GaHg3
1.0
8.554 -2.834 0.000
8.554 2.834 0.000
-1.871 0.000 5.351
Ac Ga Hg
4 1 3
direct
0.120 0.120 0.120 Ac
0.380 0.380 0.380 Ac
0.620 0.620 0.620 Ac
0.880 0.880 0.880 Ac
0.000 0.000 0.500 Ga
0.250 0.250 0.750 Hg
0.500 0.500 0.000 Hg
0.750 0.750 0.250 Hg
```

Peak list (10 most intense, 10° ≤ 2θ ≤ 90°, low angle first)
2θ = 31.45°, I 100.0
2θ = 31.57°, I 50.0
2θ = 44.90°, I 9.3
2θ = 45.25°, I 18.9
2θ = 55.92°, I 19.7
2θ = 56.14°, I 40.0
2θ = 65.65°, I 12.3
2θ = 65.91°, I 6.3
2θ = 74.35°, I 8.3
2θ = 74.89°, I 17.5